For Tl4SiSe6, DFT lattice parameters and positions (PBE) gives the calculated X-ray diffraction stick pattern in this record (a wavelength of 1.5418 Å).
No peak broadening, texture or thermal motion is included.

Main lines, by angle (15° ≤ 2θ ≤ 90°):
- 2θ 20.1, d 4.423, intensity 541
- 2θ 23.5, d 3.779, intensity 791
- 2θ 24.2, d 3.673, intensity 1000
- 2θ 25.4, d 3.508, intensity 524
- 2θ 26.4, d 3.377, intensity 636
- 2θ 38.5, d 2.339, intensity 623

```
22
Lattice="6.3117 -4.7249 0.0000 6.3117 4.7249 0.0000 -4.1715 0.0000 12.5678" Properties=species:S:1:pos:R:3 pbc="T T T"
Tl 4.2260 4.1880 6.2839
Tl -0.9660 0.7143 10.1757
Tl 3.6279 2.1254 2.3721
Tl 1.1198 -0.7143 3.8918
Tl 1.5422 -2.1254 8.6560
Tl 8.2102 0.7479 0.3336
Tl 6.1245 -0.7479 6.6175
Tl 6.3117 -4.1880 0.0000
Si 2.5124 2.6671 9.5421
Si 4.5981 -2.6671 3.2582
Se 2.4554 2.3337 7.2682
Se 6.5295 3.0688 1.5220
Se 1.7684 0.6736 10.4472
Se 4.6707 2.7550 10.3374
Se 6.2951 2.5511 5.8085
Se 3.8541 -0.6736 4.1634
Se 4.5411 -2.3337 0.9843
Se 9.5146 0.3278 3.8443
Se 4.4437 -3.0688 7.8059
Se 7.4289 -0.3278 10.1282
Se 4.2094 -2.5511 12.0924
Se 6.7564 -2.7550 4.0536
```